No. 1
Structure and simulated PXRD pattern of Ca2La8Ti5Cr5O30 (a DFT-relaxed cell (GGA+U, the Materials Project); CuKα).

Main lines, by angle (10 to 90 degrees two-theta):
(0 1 3), 22.65°, I 28
(1 0 6), 32.08°, I 100
(1 -2 0), 32.42°, I 70
(-2 1 1), 32.43°, I 35
(2 0 2), 39.63°, I 28
(0 2 6), 46.26°, I 66
(2 1 5), 57.17°, I 17
(0 3 -1), 57.40°, I 42
(-2 3 7), 58.06°, I 19
(2 2 -2), 67.09°, I 17
(2 -4 0), 67.89°, I 19
(4 -3 5), 77.07°, I 17

```
Ca2La8Ti5Cr5O30
1.0
5.5220 0.0000 0.0000
-2.7039 4.8156 0.0000
-2.5834 -1.7060 22.7470
Ca La Ti Cr O
2 8 5 5 30
Direct
0.0995 0.0515 0.1524
0.9005 0.9485 0.8476
0.0993 0.5479 0.6493
0.2992 0.6500 0.9478
0.3010 0.1512 0.4500
0.4972 0.7523 0.2508
0.5028 0.2477 0.7492
0.6990 0.8488 0.5500
0.7008 0.3500 0.0522
0.9007 0.4521 0.3507
0.0000 0.0000 0.0000
0.2014 0.5984 0.8006
0.4039 0.7012 0.1006
0.5961 0.2988 0.8994
0.7986 0.4016 0.1994
0.0000 0.5000 0.5000
0.1990 0.1003 0.2992
0.3994 0.1996 0.6002
0.6006 0.8004 0.3998
0.8010 0.8997 0.7008
0.0118 0.7888 0.2359
0.0521 0.5264 0.1382
0.0633 0.3182 0.2504
0.1268 0.2778 0.5506
0.1580 0.0786 0.6649
0.1859 0.8075 0.5644
0.2158 0.3904 0.0369
0.2466 0.1242 0.9367
0.2635 0.9082 0.0486
0.3285 0.8772 0.3488
0.3577 0.6782 0.4640
0.3861 0.4067 0.3638
0.4088 0.9831 0.8377
0.4450 0.7206 0.7368
0.4654 0.5183 0.8502
0.5346 0.4817 0.1498
0.5550 0.2794 0.2632
0.5912 0.0169 0.1623
0.6139 0.5933 0.6362
0.6423 0.3218 0.5360
0.6715 0.1228 0.6512
0.7365 0.0918 0.9514
0.7534 0.8758 0.0633
0.7842 0.6096 0.9631
0.8141 0.1925 0.4356
0.8420 0.9214 0.3351
0.8732 0.7222 0.4494
0.9367 0.6818 0.7496
0.9479 0.4736 0.8618
0.9882 0.2112 0.7641
```

***

No. 2
Structure and simulated PXRD pattern of Ca3LaTi2Cr2O12 (a DFT-relaxed cell (GGA+U, the Materials Project); CuKα).

Main lines, by angle (10 to 90 degrees two-theta):
(0 0 1), 11.48°, I 18
(0 1 1), 19.82°, I 13
(1 0 -1), 19.96°, I 13
(0 2 0), 32.53°, I 33
(1 1 2), 32.70°, I 66
(-1 1 2), 32.86°, I 100
(2 2 0), 46.70°, I 25
(0 0 4), 47.15°, I 50
(0 2 4), 58.38°, I 18
(3 1 2), 58.49°, I 22
(-3 1 2), 58.77°, I 22
(-2 2 4), 68.91°, I 17

```
Ca3LaTi2Cr2O12
1.0
5.4484 0.0000 0.0000
0.0507 5.5051 0.0000
0.0128 0.0068 7.7104
Ca La Ti Cr O
3 1 2 2 12
Direct
0.0000 0.0000 0.0000
0.0189 0.9240 0.5054
0.5014 0.4195 0.5057
0.5170 0.4934 0.0007
0.0106 0.4611 0.7442
0.5100 0.9597 0.2595
0.0108 0.4600 0.2558
0.5097 0.9613 0.7510
0.0760 0.4391 0.0088
0.2172 0.1783 0.7112
0.2199 0.1828 0.2962
0.2973 0.6667 0.7173
0.3009 0.6737 0.2925
0.4328 0.9539 0.0080
0.5870 0.9756 0.4988
0.7242 0.2522 0.7853
0.7254 0.2452 0.2161
0.8008 0.7418 0.2099
0.8010 0.7441 0.7970
0.9324 0.4868 0.4974
```

***

No. 3
Structure and simulated PXRD pattern of CaLa9Ti5Cr5O30 (a DFT-relaxed cell (GGA+U, the Materials Project); CuKα).

Main lines, by angle (10 to 90 degrees two-theta):
(1 -1 1), 22.45°, I 11
(1 2 0), 22.50°, I 22
(0 3 -1), 31.83°, I 96
(2 1 1), 32.19°, I 100
(0 4 2), 39.32°, I 28
(2 4 0), 45.86°, I 41
(0 2 6), 45.97°, I 20
(-1 5 1), 56.71°, I 24
(-3 1 1), 56.88°, I 20
(1 6 2), 56.99°, I 20
(3 4 4), 57.58°, I 12
(0 6 -2), 66.52°, I 16

```
CaLa9Ti5Cr5O30
1.0
5.5697 0.0000 0.0000
2.7107 9.3117 0.0000
2.5996 2.4660 11.9252
Ca La Ti Cr O
1 9 5 5 30
Direct
0.0000 0.0000 0.0000
0.0001 0.4977 0.4979
0.1978 0.8961 0.6960
0.2007 0.3939 0.2015
0.4015 0.2976 0.9007
0.4014 0.7983 0.4028
0.5997 0.1977 0.5947
0.5999 0.6972 0.0994
0.7988 0.5971 0.7962
0.8033 0.0984 0.2998
0.0008 0.7501 0.2465
0.0016 0.2435 0.7513
0.1969 0.6516 0.9498
0.4057 0.0449 0.1464
0.5966 0.9475 0.8508
0.1998 0.1477 0.4490
0.4013 0.5456 0.6490
0.6002 0.4487 0.3481
0.7986 0.8472 0.5496
0.8017 0.3465 0.0488
0.0555 0.4705 0.9851
0.0634 0.1865 0.1266
0.0850 0.2386 0.5872
0.1131 0.6595 0.1118
0.1434 0.4224 0.7132
0.1483 0.7113 0.5718
0.2503 0.8725 0.1880
0.2562 0.5852 0.3251
0.2874 0.6373 0.7863
0.3147 0.0568 0.3116
0.3374 0.1108 0.7729
0.3472 0.8228 0.9126
0.4537 0.9814 0.5279
0.4614 0.2694 0.3839
0.4887 0.0328 0.9875
0.5135 0.4530 0.5136
0.5404 0.5102 0.9709
0.5459 0.2249 0.1127
0.6600 0.6643 0.5856
0.6607 0.3813 0.7284
0.6858 0.4426 0.1828
0.7127 0.8557 0.7136
0.7397 0.9099 0.1723
0.7447 0.6273 0.3124
0.8481 0.0734 0.7841
0.8620 0.7820 0.9231
0.8868 0.8383 0.3844
0.9157 0.2548 0.9115
0.9409 0.0274 0.5126
0.9414 0.3147 0.3696
```